# 1
For Er3Al2Ni6, a PBE-relaxed structure gives the simulated X-ray powder pattern in this record (Cu Kα).

a b c (Å): 7.6864 7.6864 7.6864
angles (deg): 109.47 109.47 109.47
Positions (direct):
1 Er 0.0000 0.2928 0.2928
2 Er 0.0000 0.7072 0.7072
3 Er 0.2928 0.0000 0.2928
4 Er 0.2928 0.2928 0.0000
5 Er 0.7072 0.0000 0.7072
6 Er 0.7072 0.7072 0.0000
7 Al 0.0000 0.0000 0.5000
8 Al 0.0000 0.5000 0.0000
9 Al 0.5000 0.0000 0.0000
10 Al 0.5000 0.5000 0.5000
11 Ni 0.0000 0.3346 0.6654
12 Ni 0.0000 0.6654 0.3346
13 Ni 0.3308 0.6654 0.6654
14 Ni 0.3346 0.0000 0.6654
15 Ni 0.3346 0.3346 0.6692
16 Ni 0.3346 0.6654 0.0000
17 Ni 0.3346 0.6692 0.3346
18 Ni 0.6654 0.0000 0.3346
19 Ni 0.6654 0.3308 0.6654
20 Ni 0.6654 0.3346 0.0000
21 Ni 0.6654 0.6654 0.3308
22 Ni 0.6692 0.3346 0.3346

Largest 12 diffraction maxima, sorted by position, 2θ from 5° to 70°:
d 4.438, 2θ 20.01, I = 10.3
d 3.623, 2θ 24.57, I = 23.5
d 3.138, 2θ 28.44, I = 12.4
d 2.807, 2θ 31.89, I = 40.8
d 2.562, 2θ 35.02, I = 27.9
d 2.372, 2θ 37.93, I = 24.1
d 2.219, 2θ 40.66, I = 19.2
d 2.092, 2θ 43.25, I = 100.0
d 1.620, 2θ 56.82, I = 18.7
d 1.522, 2θ 60.86, I = 12.9
d 1.479, 2θ 62.82, I = 11.4
d 1.440, 2θ 64.75, I = 16.9



# 2
For TbCuSi2Pt2, a PBE-relaxed structure gives the simulated X-ray powder pattern in this record (Cu Kα).

a b c (Å): 4.1875 4.1875 6.6697
angles (deg): 90.00 90.00 120.00
Positions (direct):
1 Tb 0.0000 0.0000 0.0000
2 Cu 0.0000 0.0000 0.5000
3 Si 0.3333 0.6667 0.6991
4 Si 0.6667 0.3333 0.3009
5 Pt 0.3333 0.6667 0.3063
6 Pt 0.6667 0.3333 0.6937

Largest 12 diffraction maxima, sorted by position, 2θ from 5° to 70°:
d 6.670, 2θ 13.27, I = 4.1
d 3.186, 2θ 28.01, I = 100.0
d 2.455, 2θ 36.61, I = 99.5
d 2.223, 2θ 40.58, I = 14.4
d 2.094, 2θ 43.21, I = 72.9
d 1.895, 2θ 48.00, I = 6.9
d 1.773, 2θ 51.54, I = 2.5
d 1.750, 2θ 52.28, I = 18.7
d 1.593, 2θ 57.89, I = 26.4
d 1.524, 2θ 60.77, I = 27.0
d 1.515, 2θ 61.18, I = 13.6
d 1.405, 2θ 66.55, I = 2.6



# 3
For Co2Ni5Rh2, a PBE-relaxed structure gives the simulated X-ray powder pattern in this record (Cu Kα).

a b c (Å): 8.2844 8.2844 4.6191
angles (deg): 103.46 103.46 125.24
Positions (direct):
1 Co 0.0429 0.6766 0.5761
2 Co 0.3234 0.9571 0.4239
3 Co 0.6766 0.0429 0.5761
4 Co 0.9571 0.3234 0.4239
5 Ni 0.0470 0.2204 0.9341
6 Ni 0.1682 0.1682 0.4734
7 Ni 0.2204 0.0470 0.9341
8 Ni 0.3397 0.6603 0.5000
9 Ni 0.3541 0.6459 0.0000
10 Ni 0.6459 0.3541 0.0000
11 Ni 0.6603 0.3397 0.5000
12 Ni 0.7796 0.9530 0.0659
13 Ni 0.8318 0.8318 0.5266
14 Ni 0.9530 0.7796 0.0659
15 Rh 0.0000 0.5000 0.0000
16 Rh 0.4405 0.4405 0.2047
17 Rh 0.5000 0.0000 0.0000
18 Rh 0.5595 0.5595 0.7953

Largest 12 diffraction maxima, sorted by position, 2θ from 5° to 70°:
d 2.451, 2θ 36.67, I = 26.7
d 2.294, 2θ 39.27, I = 40.2
d 2.167, 2θ 41.69, I = 57.4
d 2.088, 2θ 43.33, I = 66.4
d 2.042, 2θ 44.37, I = 71.6
d 2.022, 2θ 44.83, I = 20.0
d 2.002, 2θ 45.31, I = 36.5
d 1.993, 2θ 45.51, I = 61.1
d 1.965, 2θ 46.19, I = 26.6
d 1.947, 2θ 46.66, I = 32.6
d 1.922, 2θ 47.29, I = 100.0
d 1.834, 2θ 49.72, I = 25.1



# 4
For Rb3TmGa2O6, a PBE-relaxed structure gives the simulated X-ray powder pattern in this record (Cu Kα).

a b c (Å): 6.1482 6.1482 7.3866
angles (deg): 90.00 90.00 120.00
Positions (direct):
1 Rb 0.0000 0.0000 0.0000
2 Rb 0.3333 0.6667 0.7526
3 Rb 0.6667 0.3333 0.2474
4 Tm 0.0000 0.0000 0.5000
5 Ga 0.3333 0.6667 0.3116
6 Ga 0.6667 0.3333 0.6884
7 O 0.1655 0.3311 0.3088
8 O 0.1655 0.8345 0.3088
9 O 0.3311 0.1655 0.6912
10 O 0.6689 0.8345 0.3088
11 O 0.8345 0.1655 0.6912
12 O 0.8345 0.6689 0.6912

Largest 12 diffraction maxima, sorted by position, 2θ from 5° to 70°:
d 7.387, 2θ 11.98, I = 25.8
d 5.324, 2θ 16.65, I = 15.8
d 3.074, 2θ 29.05, I = 95.9
d 3.035, 2θ 29.43, I = 100.0
d 2.838, 2θ 31.52, I = 7.8
d 2.160, 2θ 41.83, I = 44.9
d 1.808, 2θ 50.49, I = 7.2
d 1.775, 2θ 51.49, I = 19.5
d 1.767, 2θ 51.73, I = 41.4
d 1.583, 2θ 58.29, I = 16.6
d 1.537, 2θ 60.21, I = 17.4
d 1.371, 2θ 68.42, I = 17.7